[1]
Simulated powder diffractogram of KNb3Zn4O12 for a wavelength of 1.5418 Å, from a crystal structure in Alexandria, relaxed with PBE.
No peak broadening, texture or thermal motion is included.

Main lines, low angle first (10° ≤ 2θ ≤ 90°):
- 2θ 26.7, rel. 44
- 2θ 29.7, rel. 100
- 2θ 31.6, rel. 35
- 2θ 35.0, rel. 29
- 2θ 53.3, rel. 22
- 2θ 56.3, rel. 21

Structure:
```
data_KNb3Zn4O12
_cell_length_a 7.0182
_cell_length_b 7.0182
_cell_length_c 7.0182
_cell_angle_alpha 107.75
_cell_angle_beta 107.75
_cell_angle_gamma 107.75
_space_group_name_H-M_alt 'P 1'
_space_group_IT_number 1
loop_
_space_group_symop_operation_xyz
'x,y,z'
loop_
_atom_site_label
_atom_site_type_symbol
_atom_site_fract_x
_atom_site_fract_y
_atom_site_fract_z
K1 K 0.0000 0.0000 0.0000
Nb1 Nb 0.0000 0.5552 0.4448
Nb2 Nb 0.4448 0.0000 0.5552
Nb3 Nb 0.5552 0.4448 0.0000
Zn1 Zn 0.0554 0.5000 0.9446
Zn2 Zn 0.5000 0.5000 0.5000
Zn3 Zn 0.5000 0.9446 0.0554
Zn4 Zn 0.9446 0.0554 0.5000
O1 O 0.0341 0.6318 0.7419
O2 O 0.1102 0.8898 0.5000
O3 O 0.2581 0.3682 0.9659
O4 O 0.3317 0.6683 0.5000
O5 O 0.3682 0.9659 0.2581
O6 O 0.5000 0.1102 0.8898
O7 O 0.5000 0.3317 0.6683
O8 O 0.6318 0.7419 0.0341
O9 O 0.6683 0.5000 0.3317
O10 O 0.7419 0.0341 0.6318
O11 O 0.8898 0.5000 0.1102
O12 O 0.9659 0.2581 0.3682
```

---

[2]
Simulated powder diffractogram of KNb2P2 for a wavelength of 1.5418 Å, from a crystal structure in Alexandria, relaxed with PBE.
No peak broadening, texture or thermal motion is included.

Main lines, low angle first (10° ≤ 2θ ≤ 90°):
- 2θ 12.9, rel. 100
- 2θ 26.0, rel. 22
- 2θ 33.3, rel. 70
- 2θ 40.6, rel. 36
- 2θ 43.8, rel. 28
- 2θ 50.7, rel. 31

Structure:
```
data_KNb2P2
_cell_length_a 4.1314
_cell_length_b 4.1314
_cell_length_c 13.7186
_cell_angle_alpha 90.00
_cell_angle_beta 90.00
_cell_angle_gamma 90.00
_space_group_name_H-M_alt 'P 1'
_space_group_IT_number 1
loop_
_space_group_symop_operation_xyz
'x,y,z'
loop_
_atom_site_label
_atom_site_type_symbol
_atom_site_fract_x
_atom_site_fract_y
_atom_site_fract_z
K1 K 0.0000 0.0000 0.0000
K2 K 0.5000 0.5000 0.5000
Nb1 Nb 0.0000 0.5000 0.2500
Nb2 Nb 0.0000 0.5000 0.7500
Nb3 Nb 0.5000 0.0000 0.2500
Nb4 Nb 0.5000 0.0000 0.7500
P1 P 0.0000 0.0000 0.3571
P2 P 0.0000 0.0000 0.6429
P3 P 0.5000 0.5000 0.1429
P4 P 0.5000 0.5000 0.8571
```